[1]
# La3Cu2S7
Simulated X-ray powder pattern, Cu Kα (weighted mean of Kα1 and Kα2). Input: a GGA-PBE-relaxed structure.
No peak broadening, texture or thermal motion is included.

Atomic structure:
abc: 10.2818 10.2818 5.7495
angles: 90.00 90.00 120.00
Space group P6_3 (No. 173)
Asymmetric unit:
La (0.1438, 0.7740, 0.0000) (multiplicity 6)
Cu (0.0000, 0.0000, 0.0140) (multiplicity 2)
Cu (0.3333, 0.6667, 0.3939) (multiplicity 2)
S (0.0912, 0.5185, 0.2803) (multiplicity 6)
S (0.0963, 0.8471, 0.5086) (multiplicity 6)
S (0.3333, 0.6667, 0.7803) (multiplicity 2)

Top 10 peaks for 10 to 90 degrees two-theta, sorted by position:
- 25.30 deg, rel. 1000, hkl 2 0 1
- 26.48 deg, rel. 302, hkl 2 1 0
- 31.11 deg, rel. 273, hkl 0 0 2
- 33.99 deg, rel. 354, hkl 3 0 1
- 34.90 deg, rel. 568, hkl 2 2 0
- 36.38 deg, rel. 227, hkl 3 1 0
- 39.72 deg, rel. 273, hkl 1 3 1
- 41.30 deg, rel. 480, hkl 2 1 2
- 47.45 deg, rel. 230, hkl 2 2 2
- 49.52 deg, rel. 253, hkl 4 1 1



[2]
# La2CuSbS5
Simulated X-ray powder pattern, Cu Kα (weighted mean of Kα1 and Kα2). Input: a GGA-PBE-relaxed structure.
No peak broadening, texture or thermal motion is included.

Atomic structure:
abc: 13.302 7.588 7.714
angles: 90.00 90.00 90.00
Space group Ima2 (No. 46)
Asymmetric unit:
La (0.000, 0.000, 0.000) (multiplicity 4)
La (0.250, 0.137, 0.387) (multiplicity 4)
Cu (0.000, 0.000, 0.536) (multiplicity 4)
Sb (0.250, 0.675, 0.217) (multiplicity 4)
S (0.101, 0.658, 0.832) (multiplicity 8)
S (0.105, 0.181, 0.674) (multiplicity 8)
S (0.250, 0.511, 0.501) (multiplicity 4)

Top 10 peaks for 10 to 90 degrees two-theta, sorted by position:
- 21.17 deg, rel. 219, hkl 2 1 1
- 26.77 deg, rel. 1000, hkl 4 0 0
- 27.05 deg, rel. 568, hkl 2 2 0
- 32.97 deg, rel. 455, hkl 3 1 2
- 33.15 deg, rel. 905, hkl 0 2 2
- 36.91 deg, rel. 176, hkl 0 1 3
- 37.42 deg, rel. 175, hkl 0 3 1
- 43.13 deg, rel. 350, hkl 4 2 2
- 53.88 deg, rel. 163, hkl 0 4 2
- 55.23 deg, rel. 185, hkl 8 0 0



[3]
# La2CuTe2S2
Simulated X-ray powder pattern, Cu Kα (weighted mean of Kα1 and Kα2). Input: a GGA-PBE-relaxed structure.
No peak broadening, texture or thermal motion is included.

Atomic structure:
abc: 4.7415 4.7415 12.5009
angles: 90.00 90.00 120.00
Space group P-3m1 (No. 164)
Asymmetric unit:
La (0.3333, 0.6667, 0.1468) (multiplicity 2)
Cu (0.0000, 0.0000, 0.5000) (multiplicity 1)
Te (0.0000, 0.0000, 0.3073) (multiplicity 2)
S (0.3333, 0.6667, 0.9144) (multiplicity 2)

Top 10 peaks for 10 to 90 degrees two-theta, sorted by position:
- 14.17 deg, rel. 125, hkl 0 0 2
- 22.79 deg, rel. 1000, hkl 1 0 1
- 25.96 deg, rel. 296, hkl 1 0 2
- 30.57 deg, rel. 379, hkl 0 1 3
- 36.12 deg, rel. 265, hkl 1 0 4
- 37.95 deg, rel. 583, hkl 1 1 0
- 42.32 deg, rel. 278, hkl 0 1 5
- 44.73 deg, rel. 164, hkl 0 2 1
- 53.25 deg, rel. 155, hkl 1 1 5
- 60.07 deg, rel. 134, hkl 2 1 1



[4]
# La2CuTeS5
Simulated X-ray powder pattern, Cu Kα (weighted mean of Kα1 and Kα2). Input: a GGA-PBE-relaxed structure.
No peak broadening, texture or thermal motion is included.

Atomic structure:
abc: 4.005 17.865 11.843
angles: 90.00 90.00 90.00
Space group Cmc2_1 (No. 36)
Asymmetric unit:
La (0.000, 0.115, 0.000) (multiplicity 4)
La (0.000, 0.123, 0.623) (multiplicity 4)
Cu (0.000, 0.249, 0.420) (multiplicity 4)
Te (0.000, 0.399, 0.781) (multiplicity 4)
S (0.000, 0.033, 0.415) (multiplicity 4)
S (0.000, 0.298, 0.623) (multiplicity 4)
S (0.000, 0.306, 0.964) (multiplicity 4)
S (0.000, 0.355, 0.313) (multiplicity 4)
S (0.000, 0.491, 0.614) (multiplicity 4)

Top 10 peaks for 10 to 90 degrees two-theta, sorted by position:
- 19.88 deg, rel. 655, hkl 0 4 0
- 24.65 deg, rel. 863, hkl 0 2 3
- 27.34 deg, rel. 969, hkl 1 1 2
- 27.88 deg, rel. 745, hkl 1 3 1
- 30.85 deg, rel. 545, hkl 1 3 2
- 32.23 deg, rel. 403, hkl 1 1 3
- 36.98 deg, rel. 1000, hkl 1 5 2
- 37.85 deg, rel. 542, hkl 0 6 3
- 44.75 deg, rel. 492, hkl 1 1 5
- 45.28 deg, rel. 455, hkl 2 0 0



[5]
# La4Cu3Sb8
Simulated X-ray powder pattern, Cu Kα (weighted mean of Kα1 and Kα2). Input: a GGA-PBE-relaxed structure.
No peak broadening, texture or thermal motion is included.

Atomic structure:
abc: 4.437 4.437 20.169
angles: 90.00 90.00 90.00
Space group P-4m2 (No. 115)
Asymmetric unit:
La (0.000, 0.500, 0.116) (multiplicity 2)
La (0.000, 0.500, 0.627) (multiplicity 2)
Cu (0.000, 0.000, 0.000) (multiplicity 1)
Cu (0.000, 0.000, 0.500) (multiplicity 1)
Cu (0.500, 0.500, 0.500) (multiplicity 1)
Sb (0.000, 0.000, 0.245) (multiplicity 2)
Sb (0.000, 0.500, 0.425) (multiplicity 2)
Sb (0.000, 0.500, 0.934) (multiplicity 2)
Sb (0.500, 0.500, 0.245) (multiplicity 2)

Top 10 peaks for 10 to 90 degrees two-theta, sorted by position:
- 26.52 deg, rel. 153, hkl 0 0 6
- 26.76 deg, rel. 190, hkl 1 0 4
- 29.82 deg, rel. 283, hkl 1 1 2
- 33.44 deg, rel. 327, hkl 1 0 6
- 33.64 deg, rel. 1000, hkl 1 1 4
- 40.67 deg, rel. 497, hkl 2 0 0
- 49.65 deg, rel. 173, hkl 1 0 10
- 53.63 deg, rel. 169, hkl 2 1 6
- 58.87 deg, rel. 164, hkl 2 2 0
- 69.54 deg, rel. 233, hkl 3 1 4



[6]
# La4Cu3Sb8
Simulated X-ray powder pattern, Cu Kα (weighted mean of Kα1 and Kα2). Input: a GGA-PBE-relaxed structure.
No peak broadening, texture or thermal motion is included.

Atomic structure:
abc: 6.320 6.320 19.947
angles: 90.00 90.00 90.00
Space group I-42m (No. 121)
Asymmetric unit:
La (0.249, 0.249, 0.380) (multiplicity 8)
Cu (0.000, 0.000, 0.500) (multiplicity 2)
Cu (0.000, 0.500, 0.000) (multiplicity 4)
Sb (0.000, 0.000, 0.250) (multiplicity 4)
Sb (0.000, 0.500, 0.250) (multiplicity 4)
Sb (0.247, 0.247, 0.070) (multiplicity 8)

Top 10 peaks for 10 to 90 degrees two-theta, sorted by position:
- 26.80 deg, rel. 254, hkl 0 0 6
- 29.66 deg, rel. 224, hkl 2 0 2
- 33.58 deg, rel. 1000, hkl 2 0 4
- 40.37 deg, rel. 378, hkl 2 2 0
- 49.12 deg, rel. 141, hkl 2 2 6
- 50.08 deg, rel. 132, hkl 1 1 10
- 53.50 deg, rel. 133, hkl 3 1 6
- 58.41 deg, rel. 125, hkl 4 0 0
- 66.19 deg, rel. 119, hkl 3 1 10
- 69.09 deg, rel. 207, hkl 4 2 4



[7]
# La4Cu5Sb8
Simulated X-ray powder pattern, Cu Kα (weighted mean of Kα1 and Kα2). Input: a GGA-PBE-relaxed structure.
No peak broadening, texture or thermal motion is included.

Atomic structure:
abc: 4.445 4.445 20.935
angles: 90.00 90.00 90.00
Space group P4mm (No. 99)
Asymmetric unit:
La (0.000, 0.000, 0.000) (multiplicity 1)
La (0.000, 0.000, 0.486) (multiplicity 1)
La (0.500, 0.500, 0.245) (multiplicity 1)
La (0.500, 0.500, 0.747) (multiplicity 1)
Cu (0.000, 0.000, 0.686) (multiplicity 1)
Cu (0.000, 0.500, 0.367) (multiplicity 2)
Cu (0.000, 0.500, 0.875) (multiplicity 2)
Sb (0.000, 0.000, 0.295) (multiplicity 1)
Sb (0.000, 0.000, 0.806) (multiplicity 1)
Sb (0.000, 0.500, 0.122) (multiplicity 2)
Sb (0.000, 0.500, 0.614) (multiplicity 2)
Sb (0.500, 0.500, 0.441) (multiplicity 1)
Sb (0.500, 0.500, 0.948) (multiplicity 1)

Top 10 peaks for 10 to 90 degrees two-theta, sorted by position:
- 26.31 deg, rel. 130, hkl 1 0 4
- 29.68 deg, rel. 147, hkl 1 1 2
- 32.63 deg, rel. 313, hkl 1 0 6
- 33.25 deg, rel. 1000, hkl 1 1 4
- 40.59 deg, rel. 492, hkl 2 0 0
- 48.04 deg, rel. 184, hkl 1 0 10
- 53.02 deg, rel. 156, hkl 2 1 6
- 58.76 deg, rel. 162, hkl 2 2 0
- 64.66 deg, rel. 148, hkl 2 1 10
- 69.21 deg, rel. 228, hkl 3 1 4



[8]
# La2ScCu9
Simulated X-ray powder pattern, Cu Kα (weighted mean of Kα1 and Kα2). Input: a GGA-PBE-relaxed structure.
No peak broadening, texture or thermal motion is included.

Atomic structure:
abc: 5.1347 5.1347 25.8204
angles: 90.00 90.00 120.00
Space group R-3m (No. 166, hexagonal axes)
Asymmetric unit:
La (0.0000, 0.0000, 0.1385) (multiplicity 6)
Sc (0.0000, 0.0000, 0.0000) (multiplicity 3)
Cu (0.0000, 0.0000, 0.3322) (multiplicity 6)
Cu (0.0000, 0.0000, 0.5000) (multiplicity 3)
Cu (0.0028, 0.5014, 0.0777) (multiplicity 18)

Top 10 peaks for 10 to 90 degrees two-theta, sorted by position:
- 31.51 deg, rel. 378, hkl 1 0 7
- 34.33 deg, rel. 366, hkl 0 1 8
- 34.95 deg, rel. 432, hkl 1 1 0
- 40.73 deg, rel. 379, hkl 0 2 1
- 40.93 deg, rel. 1000, hkl 1 1 6
- 43.03 deg, rel. 214, hkl 0 2 4
- 43.60 deg, rel. 329, hkl 0 1 11
- 44.36 deg, rel. 382, hkl 2 0 5
- 66.75 deg, rel. 215, hkl 0 3 6
- 73.82 deg, rel. 268, hkl 2 2 0



What is the formula in the sixth record? La4Cu3Sb8